The following is a simulated X-ray powder pattern of PmMnHgO4. It was derived from a DFT-relaxed cell (PBE+U, Alexandria), using Cu Kα (λ = 1.5418 Å).
Kinematic intensities with the Lorentz-polarization factor, no thermal factor.

Cell and atoms:
```
PmMnHgO4
1.0
-3.2580 3.5345 4.5467
3.2580 -3.5345 4.5467
3.2580 3.5345 -4.5467
Pm Mn Hg O
2 2 2 8
direct
0.0000 0.0000 0.0000
0.5000 0.0000 0.5000
0.5000 0.0000 0.0000
0.5000 0.5000 0.5000
0.1148 0.3648 0.7500
0.8852 0.6352 0.2500
0.2853 0.2650 0.4797
0.2853 0.8056 0.0203
0.2910 0.7452 0.5458
0.3006 0.2548 0.0458
0.6994 0.7452 0.9542
0.7090 0.2548 0.4542
0.7147 0.1944 0.9797
0.7147 0.7350 0.5203
```

Top 12 peaks for 5° ≤ 2θ ≤ 70°, by angle:
Position (°2θ)  intensity
27.04  71
27.37  37
30.40  100
31.80  50
32.10  31
32.58  57
45.54  18
48.73  20
50.32  28
51.75  29
55.75  47
62.48  17